For LiTiSi4O10, a crystal structure in Alexandria, relaxed with PBE gives the calculated powder X-ray diffraction pattern in this record (a wavelength of 1.5418 Å).

Peak list (10 most intense, 2θ from 10° to 80°, by intensity)
(hkl)	d/Å	I (rel.)
1 1 -2	3.800	100.0
1 0 2	3.779	91.9
2 0 0	3.742	14.3
3 1 -4	2.105	13.8
1 2 -4	1.964	13.2
0 2 6	1.493	11.8
1 1 -3	3.113	8.2
0 0 4	2.700	8.2
2 2 2	1.885	8.1
0 3 2	1.692	7.9

Cell and atoms:
abc: 8.023 5.347 11.581
angles: 90.00 111.11 90.00
Positions (direct):
Li 0.000 0.249 0.250
Li 0.000 0.751 0.750
Ti 0.000 0.252 0.750
Ti 0.000 0.748 0.250
Si 0.297 0.018 0.151
Si 0.297 0.483 0.498
Si 0.297 0.517 0.998
Si 0.297 0.982 0.651
Si 0.703 0.018 0.349
Si 0.703 0.483 0.002
Si 0.703 0.517 0.502
Si 0.703 0.982 0.849
O 0.154 0.006 0.721
O 0.154 0.497 0.856
O 0.154 0.503 0.356
O 0.154 0.994 0.221
O 0.262 0.288 0.080
O 0.262 0.712 0.580
O 0.267 0.212 0.552
O 0.267 0.788 0.052
O 0.500 0.007 0.250
O 0.500 0.500 0.000
O 0.500 0.500 0.500
O 0.500 0.993 0.750
O 0.733 0.212 0.948
O 0.733 0.788 0.448
O 0.738 0.288 0.420
O 0.738 0.712 0.920
O 0.846 0.006 0.779
O 0.846 0.497 0.644
O 0.846 0.503 0.144
O 0.846 0.994 0.279